Diffraction record for RbTaB2O6. The powder diffraction line list is computed, not measured: it uses a DFT-relaxed cell (GGA-PBE, the Materials Project) and Cu Kα, 1.54184 Å.

The 10 most intense peaks (10 to 90 degrees two-theta), sorted by position:
| 2θ/deg | d/Å | intensity |
| --- | --- | --- |
| 14.74 | 6.011 | 83.0 |
| 17.97 | 4.936 | 50.3 |
| 23.48 | 3.789 | 46.5 |
| 25.49 | 3.494 | 22.3 |
| 27.07 | 3.294 | 100.0 |
| 29.60 | 3.018 | 52.1 |
| 29.73 | 3.006 | 51.1 |
| 37.65 | 2.389 | 21.8 |
| 45.26 | 2.004 | 23.4 |
| 49.81 | 1.831 | 22.2 |

Atomic structure:
```
RbTaB2O6
1.0
7.5780 0.0000 0.0000
0.0000 3.9375 0.0000
0.0000 0.0000 9.8716
Rb Ta B O
2 2 4 12
direct
0.0000 0.0656 0.0000
0.5000 0.9344 0.5000
0.0000 0.4074 0.6059
0.5000 0.5926 0.1059
0.1644 0.5102 0.3185
0.3356 0.4898 0.8185
0.6644 0.4898 0.8185
0.8356 0.5102 0.3185
0.0000 0.5320 0.2526
0.0000 0.9313 0.6062
0.1799 0.4420 0.4533
0.1896 0.4352 0.7414
0.3104 0.5648 0.2414
0.3201 0.5580 0.9533
0.5000 0.0687 0.1062
0.5000 0.4680 0.7526
0.6799 0.5580 0.9533
0.6896 0.5648 0.2414
0.8104 0.4352 0.7414
0.8201 0.4420 0.4533
```

***

Diffraction record for B6RhO6. The powder diffraction line list is computed, not measured: it uses a DFT-relaxed cell (GGA-PBE, the Materials Project) and Cu Kα, 1.54184 Å.

The 10 most intense peaks (10 to 90 degrees two-theta), sorted by position:
| 2θ/deg | d/Å | intensity |
| --- | --- | --- |
| 14.94 | 5.929 | 100.0 |
| 16.70 | 5.310 | 32.7 |
| 19.68 | 4.512 | 20.8 |
| 25.00 | 3.562 | 10.0 |
| 26.72 | 3.336 | 18.1 |
| 30.15 | 2.965 | 16.5 |
| 30.93 | 2.891 | 6.9 |
| 33.42 | 2.681 | 10.1 |
| 34.35 | 2.611 | 8.9 |
| 34.92 | 2.569 | 8.4 |

Atomic structure:
```
B6RhO6
1.0
4.4015 -3.4769 0.0000
4.4015 3.4769 0.0000
-4.2108 0.0000 11.8582
B Rh O
6 1 6
direct
0.1386 0.3916 0.0000
0.1409 0.1409 0.4862
0.3916 0.1386 0.0000
0.6084 0.8614 0.0000
0.8591 0.8591 0.5138
0.8614 0.6084 0.0000
0.5000 0.5000 0.0000
0.0572 0.6939 0.5152
0.1451 0.1451 0.9999
0.3061 0.9428 0.4848
0.6939 0.0572 0.5152
0.8549 0.8549 0.0001
0.9428 0.3061 0.4848
```